[1]
Structure and computed X-ray diffraction stick pattern of BaNiF4 (a cell relaxed with PBE+U; Cu Ka).
Peak positions follow from Bragg's law for the DFT cell and can differ from measured ones.

Crystal structure
```
BaNiF4
1.0
2.1021 -7.3865 0.0000
2.1021 7.3865 0.0000
0.0000 0.0000 5.9088
Ba Ni F
2 2 8
Direct
0.1472 0.8528 0.5000
0.8528 0.1472 0.0000
0.4137 0.5863 0.4579
0.5863 0.4137 0.9579
0.0789 0.9211 0.9477
0.3021 0.6979 0.2650
0.3360 0.6640 0.7303
0.4719 0.5281 0.1391
0.5281 0.4719 0.6391
0.6640 0.3360 0.2303
0.6979 0.3021 0.7650
0.9211 0.0789 0.4477
```

Most intense lines, 10 to 80 degrees two-theta, most intense first:
2θ = 26.71°, rel. 100
2θ = 28.50°, rel. 42
2θ = 24.10°, rel. 41
2θ = 41.62°, rel. 40
2θ = 40.31°, rel. 33
2θ = 43.03°, rel. 30
2θ = 30.25°, rel. 28
2θ = 31.82°, rel. 26
2θ = 27.90°, rel. 25
2θ = 39.04°, rel. 24

[2]
Structure and computed X-ray diffraction stick pattern of Ba2Ni2F11 (a cell relaxed with PBE+U; Cu Ka).
Peak positions follow from Bragg's law for the DFT cell and can differ from measured ones.

Crystal structure
```
Ba2Ni2F11
1.0
7.6012 0.0000 0.0000
-3.8006 6.5828 0.0000
0.0000 0.0000 13.9390
Ba Ni F
6 6 33
Direct
0.1520 0.0153 0.0000
0.4870 0.1442 0.4853
0.6571 0.5130 0.8186
0.8558 0.3429 0.1519
0.8633 0.8480 0.3333
0.9847 0.1367 0.6667
0.1897 0.4418 0.3839
0.2521 0.8103 0.7173
0.3574 0.3401 0.2061
0.5582 0.7479 0.0506
0.6599 0.0174 0.8728
0.9826 0.6426 0.5394
0.0009 0.7294 0.1764
0.0489 0.3388 0.9900
0.0634 0.9153 0.5055
0.0656 0.6072 0.4140
0.0847 0.1480 0.1722
0.1643 0.8295 0.8374
0.1705 0.3348 0.5041
0.2067 0.5521 0.7302
0.2417 0.5119 0.2453
0.2702 0.7583 0.5786
0.2706 0.2715 0.8430
0.2824 0.2479 0.3398
0.2899 0.9511 0.3234
0.3256 0.0812 0.6718
0.3454 0.7933 0.0635
0.3928 0.4584 0.0806
0.4426 0.1720 0.1437
0.4479 0.6546 0.3969
0.4881 0.7298 0.9120
0.5262 0.1478 0.9212
0.5416 0.9344 0.7473
0.6217 0.4738 0.2546
0.6612 0.7101 0.6567
0.6652 0.8357 0.1708
0.7285 0.9991 0.5097
0.7294 0.5574 0.4770
0.7521 0.0346 0.0065
0.7556 0.6744 0.0052
0.8280 0.2706 0.8103
0.8522 0.3783 0.5879
0.8520 0.9366 0.8389
0.9188 0.2444 0.3385
0.9654 0.7176 0.6731
```

Most intense lines, 10 to 80 degrees two-theta, most intense first:
2θ = 24.27°, rel. 100
2θ = 23.43°, rel. 85
2θ = 41.17°, rel. 72
2θ = 27.85°, rel. 55
2θ = 38.42°, rel. 55
2θ = 26.72°, rel. 47
2θ = 30.02°, rel. 44
2θ = 18.54°, rel. 38
2θ = 28.99°, rel. 35
2θ = 47.87°, rel. 34

[3]
Structure and computed X-ray diffraction stick pattern of BaNiF6 (a cell relaxed with PBE+U; Cu Ka).
Peak positions follow from Bragg's law for the DFT cell and can differ from measured ones.

Crystal structure
```
BaNiF6
1.0
3.7265 2.1515 2.3552
-3.7265 2.1515 2.3552
0.0000 -4.3030 2.3552
Ba Ni F
1 1 6
Direct
0.0000 0.0000 0.0000
0.5000 0.5000 0.5000
0.2357 0.2357 0.5715
0.2357 0.5715 0.2357
0.4285 0.7643 0.7643
0.5715 0.2357 0.2357
0.7643 0.4285 0.7643
0.7643 0.7643 0.4285
```

Most intense lines, 10 to 80 degrees two-theta, most intense first:
2θ = 23.88°, rel. 100
2θ = 45.17°, rel. 62
2θ = 28.81°, rel. 56
2θ = 39.06°, rel. 25
2θ = 65.21°, rel. 19
2θ = 37.75°, rel. 16
2θ = 48.88°, rel. 14
2θ = 41.99°, rel. 11
2θ = 66.37°, rel. 11
2θ = 57.73°, rel. 10

[4]
Structure and computed X-ray diffraction stick pattern of Ba2Ni7F18 (a cell relaxed with PBE+U; Cu Ka).
Peak positions follow from Bragg's law for the DFT cell and can differ from measured ones.

Crystal structure
```
Ba2Ni7F18
1.0
7.0040 0.0000 0.0000
-3.1785 6.5849 0.0000
-0.4089 -0.8468 7.4964
Ba Ni F
2 7 18
Direct
0.1861 0.3064 0.3665
0.8139 0.6936 0.6335
0.1056 0.7220 0.1180
0.3105 0.1247 0.8181
0.3189 0.6159 0.8048
0.5000 0.0000 0.5000
0.6811 0.3841 0.1952
0.6895 0.8753 0.1819
0.8944 0.2780 0.8820
0.0044 0.0780 0.8175
0.0207 0.4409 0.6786
0.1810 0.4877 0.0263
0.2061 0.8259 0.8806
0.2183 0.9927 0.5586
0.3924 0.2299 0.0727
0.4003 0.3949 0.7194
0.4024 0.8722 0.2420
0.4223 0.7194 0.5745
0.5777 0.2806 0.4255
0.5976 0.1278 0.7580
0.5997 0.6051 0.2806
0.6076 0.7701 0.9273
0.7817 0.0073 0.4414
0.7939 0.1741 0.1194
0.8190 0.5123 0.9737
0.9793 0.5591 0.3214
0.9956 0.9220 0.1825
```

Most intense lines, 10 to 80 degrees two-theta, most intense first:
2θ = 26.53°, rel. 100
2θ = 31.98°, rel. 75
2θ = 28.73°, rel. 74
2θ = 28.49°, rel. 44
2θ = 40.18°, rel. 41
2θ = 40.98°, rel. 41
2θ = 40.05°, rel. 39
2θ = 27.87°, rel. 29
2θ = 40.77°, rel. 28
2θ = 64.65°, rel. 27